Diffraction record for Pa4PdPbN8. The PXRD pattern is simulated, not measured: it uses the GGA-PBE geometry in Alexandria and a wavelength of 1.5418 Å.
Intensities are scaled so that the largest is 100.

The 10 most intense peaks (2θ from 5° to 70°), most intense first:
- 29.0°, I = 100.0
- 30.9°, I = 63.5
- 30.6°, I = 58.9
- 50.2°, I = 47.4
- 33.5°, I = 47.2
- 49.1°, I = 35.1
- 28.0°, I = 34.6
- 45.3°, I = 23.2
- 57.9°, I = 23.1
- 18.0°, I = 21.1

Atomic structure:
abc: 6.472 6.472 6.472
angles: 68.37 68.37 68.37
Positions (direct):
Pa (0.000, 0.000, 0.000)
Pa (0.397, 0.397, 0.893)
Pa (0.397, 0.893, 0.397)
Pa (0.893, 0.397, 0.397)
Pd (0.398, 0.398, 0.398)
Pb (0.786, 0.786, 0.786)
N (0.144, 0.144, 0.622)
N (0.144, 0.622, 0.144)
N (0.150, 0.150, 0.150)
N (0.204, 0.634, 0.634)
N (0.622, 0.144, 0.144)
N (0.634, 0.204, 0.634)
N (0.634, 0.634, 0.204)
N (0.635, 0.635, 0.635)

---

Diffraction record for Th3Pa4PbN12. The PXRD pattern is simulated, not measured: it uses the GGA-PBE geometry in Alexandria and a wavelength of 1.5418 Å.
Intensities are scaled so that the largest is 100.

The 5 most intense peaks (2θ from 5° to 70°), most intense first:
- 29.2°, I = 100.0
- 51.7°, I = 45.8
- 41.7°, I = 22.4
- 68.6°, I = 19.2
- 60.5°, I = 14.5

Atomic structure:
abc: 7.495 7.495 7.495
angles: 109.47 109.47 109.47
Positions (direct):
Th (0.000, 0.500, 0.500)
Th (0.500, 0.000, 0.500)
Th (0.500, 0.500, 0.000)
Pa (0.000, 0.000, 0.500)
Pa (0.000, 0.500, 0.000)
Pa (0.500, 0.000, 0.000)
Pa (0.500, 0.500, 0.500)
Pb (0.000, 0.000, 0.000)
N (0.109, 0.799, 0.310)
N (0.201, 0.310, 0.510)
N (0.201, 0.690, 0.891)
N (0.310, 0.109, 0.799)
N (0.310, 0.510, 0.201)
N (0.490, 0.799, 0.690)
N (0.510, 0.201, 0.310)
N (0.690, 0.490, 0.799)
N (0.690, 0.891, 0.201)
N (0.799, 0.310, 0.109)
N (0.799, 0.690, 0.490)
N (0.891, 0.201, 0.690)

---

Copy entry 1 word for word.
Diffraction record for Pa4PdPbN8. The PXRD pattern is simulated, not measured: it uses the GGA-PBE geometry in Alexandria and a wavelength of 1.5418 Å.
Intensities are scaled so that the largest is 100.

The 10 most intense peaks (2θ from 5° to 70°), most intense first:
- 29.0°, I = 100.0
- 30.9°, I = 63.5
- 30.6°, I = 58.9
- 50.2°, I = 47.4
- 33.5°, I = 47.2
- 49.1°, I = 35.1
- 28.0°, I = 34.6
- 45.3°, I = 23.2
- 57.9°, I = 23.1
- 18.0°, I = 21.1

Atomic structure:
abc: 6.472 6.472 6.472
angles: 68.37 68.37 68.37
Positions (direct):
Pa (0.000, 0.000, 0.000)
Pa (0.397, 0.397, 0.893)
Pa (0.397, 0.893, 0.397)
Pa (0.893, 0.397, 0.397)
Pd (0.398, 0.398, 0.398)
Pb (0.786, 0.786, 0.786)
N (0.144, 0.144, 0.622)
N (0.144, 0.622, 0.144)
N (0.150, 0.150, 0.150)
N (0.204, 0.634, 0.634)
N (0.622, 0.144, 0.144)
N (0.634, 0.204, 0.634)
N (0.634, 0.634, 0.204)
N (0.635, 0.635, 0.635)